This entry pairs a crystal structure of Y8C3N with its simulated powder XRD pattern. Radiation: λ = 1.5418 Å (Cu Kα). Structure: a cell relaxed with PBE.
Intensities are scaled so that the largest is 100.

Crystal structure
```
Y8C3N
1.0
6.2095 -3.5866 0.0000
6.2095 3.5866 0.0000
-4.1490 0.0000 6.0826
Y C N
8 3 1
Cartesian
-0.0112 0.0000 4.3836
3.1028 1.7983 4.3840
2.0655 0.0000 1.6730
5.1672 1.7983 1.6986
3.1028 -1.7983 4.3840
6.2045 0.0000 4.4096
5.1672 -1.7983 1.6986
8.2811 0.0000 1.6990
1.0302 1.7933 3.0413
1.0302 -1.7933 3.0413
4.1350 0.0000 3.0413
-2.0745 0.0000 3.0413
```

Main lines, in order of falling intensity (15 to 90 degrees two-theta):
Position (°2θ)  I_rel
30.4  100
35.0  85
29.4  32
50.9  29
49.6  25
59.9  17
63.3  14
60.5  14
85.4  12
82.9  11